This entry pairs a crystal structure of SbAs2O8 with its simulated XRD peak list. Radiation: λ = 1.5418 Å (Cu Kα). Structure: a DFT-relaxed cell (GGA-PBE, Alexandria).
No peak broadening, texture or thermal motion is included.

Peak list (12 most intense, 5° ≤ 2θ ≤ 70°, low angle first)
- (0 0 1), d = 6.734 Å, I 17.5
- (0 1 1), d = 3.882 Å, I 100.0
- (1 1 0), d = 2.745 Å, I 55.0
- (2 0 1), d = 2.240 Å, I 8.5
- (1 0 3), d = 2.030 Å, I 10.7
- (0 2 2), d = 1.941 Å, I 15.1
- (1 2 1), d = 1.736 Å, I 23.9
- (0 2 3), d = 1.632 Å, I 6.5
- (1 2 2), d = 1.585 Å, I 10.1
- (1 1 4), d = 1.435 Å, I 9.8
- (2 1 3), d = 1.402 Å, I 6.6
- (2 2 0), d = 1.372 Å, I 6.6

Cell and atoms:
a = 5.487 Å, b = 5.487 Å, c = 6.734 Å
α = 90.00°, β = 90.00°, γ = 120.00°
Sites, in units of the cell vectors:
1 Sb 0.000 0.000 0.000
2 As 0.333 0.667 0.261
3 As 0.667 0.333 0.739
4 O 0.163 0.325 0.181
5 O 0.163 0.837 0.181
6 O 0.325 0.163 0.819
7 O 0.333 0.667 0.513
8 O 0.667 0.333 0.487
9 O 0.675 0.837 0.181
10 O 0.837 0.163 0.819
11 O 0.837 0.675 0.819